The following is a simulated X-ray powder pattern of Ni3As. It was derived from a cell relaxed with GGA-PBE, using Cu Ka.
Neutral-atom scattering factors, no anomalous dispersion.

```
data_Ni3As
_chemical_formula_sum 'Ni12 As4'
_symmetry_space_group_name_H-M 'P n m a'
_symmetry_Int_Tables_number 62
_cell_length_a 6.521
_cell_length_b 6.970
_cell_length_c 4.354
_cell_angle_alpha 90.00
_cell_angle_beta 90.00
_cell_angle_gamma 90.00
loop_
_symmetry_equiv_pos_as_xyz
'x,y,z'
'-x,-y,-z'
'-x+1/2,-y,z+1/2'
'x+1/2,y,-z+1/2'
'x+1/2,-y+1/2,-z+1/2'
'-x+1/2,y+1/2,z+1/2'
'-x,y+1/2,-z'
'x,-y+1/2,z'
loop_
_atom_site_label
_atom_site_type_symbol
_atom_site_fract_x
_atom_site_fract_y
_atom_site_fract_z
_atom_site_occupancy
Ni1 Ni 0.027 0.250 0.081 1
Ni2 Ni 0.181 0.065 0.583 1
As1 As 0.123 0.750 0.430 1
```

Largest 10 diffraction maxima, low angle first, 15 to 90 degrees two-theta:
2θ/deg	I_rel
37.78	55
41.48	33
43.31	31
45.83	58
46.44	100
46.71	87
48.09	42
48.61	30
51.44	31
76.94	24


The following is a simulated X-ray powder pattern of Ni4As. It was derived from a cell relaxed with GGA-PBE, using Cu Ka.
Neutral-atom scattering factors, no anomalous dispersion.

```
data_Ni4As
_chemical_formula_sum 'Ni8 As2'
_symmetry_space_group_name_H-M 'I 4/m'
_symmetry_Int_Tables_number 87
_symmetry_space_group_name_Hall '-I 4'
_cell_length_a 5.533
_cell_length_b 5.533
_cell_length_c 3.733
_cell_angle_alpha 90.00
_cell_angle_beta 90.00
_cell_angle_gamma 90.00
loop_
_atom_site_label
_atom_site_type_symbol
_atom_site_fract_x
_atom_site_fract_y
_atom_site_fract_z
_atom_site_occupancy
Ni1 Ni 0.108 0.694 0.000 1
As1 As 0.000 0.000 0.500 1
```

Largest 7 diffraction maxima, low angle first, 15 to 90 degrees two-theta:
2θ/deg	I_rel
28.85	1
43.90	100
48.78	18
52.28	29
74.30	19
77.08	8
87.80	12


The following is a simulated X-ray powder pattern of Ni4As. It was derived from a cell relaxed with GGA-PBE, using Cu Ka.
Neutral-atom scattering factors, no anomalous dispersion.

```
data_Ni4As
_chemical_formula_sum 'Ni16 As4'
_symmetry_space_group_name_H-M 'I m m a'
_symmetry_Int_Tables_number 74
_symmetry_space_group_name_Hall '-I 2b 2'
_cell_length_a 3.788
_cell_length_b 4.927
_cell_length_c 12.458
_cell_angle_alpha 90.00
_cell_angle_beta 90.00
_cell_angle_gamma 90.00
loop_
_atom_site_label
_atom_site_type_symbol
_atom_site_fract_x
_atom_site_fract_y
_atom_site_fract_z
_atom_site_occupancy
Ni1 Ni 0.000 0.000 0.000 1
Ni2 Ni 0.000 0.006 0.193 1
Ni3 Ni 0.000 0.250 0.402 1
As1 As 0.000 0.250 0.612 1
```

Largest 10 diffraction maxima, low angle first, 15 to 90 degrees two-theta:
2θ/deg	I_rel
43.47	100
44.47	86
47.03	31
48.04	39
49.28	14
58.09	21
69.50	18
78.64	15
86.39	12
87.08	11


The following is a simulated X-ray powder pattern of Ni23As6. It was derived from a cell relaxed with GGA-PBE, using Cu Ka.
Neutral-atom scattering factors, no anomalous dispersion.

```
data_Ni23As6
_chemical_formula_sum 'Ni46 As12'
_symmetry_space_group_name_H-M 'I 4/m m m'
_symmetry_Int_Tables_number 139
_symmetry_space_group_name_Hall '-I 4 2'
_cell_length_a 7.252
_cell_length_b 7.252
_cell_length_c 13.387
_cell_angle_alpha 90.00
_cell_angle_beta 90.00
_cell_angle_gamma 90.00
loop_
_atom_site_label
_atom_site_type_symbol
_atom_site_fract_x
_atom_site_fract_y
_atom_site_fract_z
_atom_site_occupancy
Ni1 Ni 0.000 0.000 0.000 1
Ni2 Ni 0.000 0.251 0.376 1
Ni3 Ni 0.000 0.254 0.129 1
Ni4 Ni 0.000 0.500 0.000 1
Ni5 Ni 0.250 0.250 0.250 1
As1 As 0.000 0.000 0.253 1
As2 As 0.249 0.249 0.500 1
```

Largest 10 diffraction maxima, low angle first, 15 to 90 degrees two-theta:
2θ/deg	I_rel
21.83	9
24.55	3
36.54	2
41.63	3
44.27	1
44.52	100
50.33	34
54.87	13
73.94	10
77.65	17